Entry 1:
NaHg2: theoretical X-ray powder pattern (CuKα), based on a GGA-PBE-relaxed structure.
Peak positions follow from Bragg's law for the DFT cell and can differ from measured ones.

Largest 6 diffraction maxima, in order of rising 2θ, 2θ = 10–80°:
- 19.8 deg, I = 66
- 26.9 deg, I = 50
- 33.7 deg, I = 61
- 34.7 deg, I = 100
- 44.5 deg, I = 80
- 67.2 deg, I = 30

Structure:
Unit cell a=5.1658 b=5.1658 c=3.3088 alpha=90.00 beta=90.00 gamma=120.00
Fractional positions:
Na 0.0000 0.0000 0.0000
Hg 0.3333 0.6667 0.5000
Hg 0.6667 0.3333 0.5000


Entry 2:
Na15Hg: theoretical X-ray powder pattern (CuKα), based on a GGA-PBE-relaxed structure.
Peak positions follow from Bragg's law for the DFT cell and can differ from measured ones.

Largest 6 diffraction maxima, in order of rising 2θ, 2θ = 10–80°:
- 13.9 deg, I = 45
- 15.8 deg, I = 66
- 20.4 deg, I = 34
- 28.1 deg, I = 29
- 31.9 deg, I = 100
- 33.2 deg, I = 25

Structure:
Unit cell a=7.3366 b=7.3366 c=11.9276 alpha=90.00 beta=90.00 gamma=120.00
Fractional positions:
Na 0.0000 0.0000 0.0000
Na 0.0051 0.5026 0.5000
Na 0.3229 0.1615 0.2639
Na 0.3229 0.1615 0.7361
Na 0.3333 0.6667 0.2445
Na 0.3333 0.6667 0.7555
Na 0.4974 0.5026 0.5000
Na 0.4974 0.9949 0.5000
Na 0.5021 0.0042 0.0000
Na 0.5021 0.4979 0.0000
Na 0.8385 0.1615 0.2639
Na 0.8385 0.1615 0.7361
Na 0.8385 0.6771 0.2639
Na 0.8385 0.6771 0.7361
Na 0.9958 0.4979 0.0000
Hg 0.0000 0.0000 0.5000


Entry 3:
Na2Hg5: theoretical X-ray powder pattern (CuKα), based on a GGA-PBE-relaxed structure.
Peak positions follow from Bragg's law for the DFT cell and can differ from measured ones.

Largest 6 diffraction maxima, in order of rising 2θ, 2θ = 10–80°:
- 20.8 deg, I = 28
- 32.7 deg, I = 100
- 33.7 deg, I = 93
- 37.8 deg, I = 34
- 38.0 deg, I = 34
- 39.8 deg, I = 30

Structure:
Unit cell a=5.5589 b=5.5589 c=7.5965 alpha=97.69 beta=97.69 gamma=50.41
Fractional positions:
Na 0.0786 0.0786 0.2289
Na 0.9214 0.9214 0.7711
Hg 0.2124 0.2124 0.6510
Hg 0.3601 0.3601 0.0690
Hg 0.5000 0.5000 0.5000
Hg 0.6399 0.6399 0.9310
Hg 0.7876 0.7876 0.3490


Entry 4:
NaNd4Hg4: theoretical X-ray powder pattern (CuKα), based on a GGA-PBE-relaxed structure.
Peak positions follow from Bragg's law for the DFT cell and can differ from measured ones.

Largest 6 diffraction maxima, in order of rising 2θ, 2θ = 10–80°:
- 12.7 deg, I = 34
- 28.6 deg, I = 100
- 30.6 deg, I = 49
- 35.7 deg, I = 39
- 35.9 deg, I = 44
- 44.4 deg, I = 35

Structure:
Unit cell a=9.8801 b=9.8801 c=6.1082 alpha=90.00 beta=90.00 gamma=90.00
Fractional positions:
Na 0.2500 0.2500 0.2500
Na 0.7500 0.7500 0.7500
Nd 0.0863 0.6668 0.1532
Nd 0.1668 0.9137 0.6532
Nd 0.3332 0.5863 0.6532
Nd 0.4137 0.8332 0.1532
Nd 0.5863 0.1668 0.8468
Nd 0.6668 0.4137 0.3468
Nd 0.8332 0.0863 0.3468
Nd 0.9137 0.3332 0.8468
Hg 0.0118 0.6191 0.6552
Hg 0.1191 0.9882 0.1552
Hg 0.3809 0.5118 0.1552
Hg 0.4882 0.8809 0.6552
Hg 0.5118 0.1191 0.3448
Hg 0.6191 0.4882 0.8448
Hg 0.8809 0.0118 0.8448
Hg 0.9882 0.3809 0.3448